Structure and computed powder XRD pattern of Ni (the PBE geometry in OQMD; a wavelength of 1.5418 Å).

Largest 5 diffraction maxima, by angle, 15 to 90 degrees two-theta:
- 44.5°, rel. 100
- 47.3°, rel. 28
- 52.7°, rel. 59
- 75.7°, rel. 18
- 79.8°, rel. 16

Crystal structure
```
Ni
1.0
2.5124 0.0000 0.0000
-1.2562 2.1758 0.0000
0.0000 0.0000 5.7701
Ni
3
Direct
0.0000 0.0000 0.0000
0.3333 0.6667 0.6667
0.6667 0.3333 0.3333
```

Structure and computed powder XRD pattern of NbFeGe (the PBE geometry in OQMD; a wavelength of 1.5418 Å).

Largest 12 diffraction maxima, by angle, 15 to 90 degrees two-theta:
- 37.4°, rel. 39
- 37.5°, rel. 93
- 40.8°, rel. 100
- 41.0°, rel. 41
- 42.2°, rel. 28
- 42.5°, rel. 19
- 42.6°, rel. 20
- 48.3°, rel. 28
- 48.7°, rel. 12
- 51.4°, rel. 34
- 68.8°, rel. 13
- 73.2°, rel. 14

Crystal structure
```
NbFeGe
1.0
-3.5559 5.6093 3.2697
3.5559 -5.6093 3.2697
3.5559 5.6093 -3.2697
Nb Fe Ge
6 6 6
Direct
0.0006 0.2500 0.2506
0.1494 0.1168 0.5326
0.1923 0.6375 0.0548
0.5826 0.1375 0.9452
0.5843 0.6168 0.4674
0.9994 0.7500 0.7494
0.3389 0.3389 0.0000
0.3389 0.8389 0.5000
0.5881 0.1766 0.3387
0.5881 0.7494 0.9115
0.8379 0.2494 0.6613
0.8379 0.6766 0.0885
0.2528 0.0810 0.1631
0.2528 0.5897 0.6718
0.5668 0.3437 0.7231
0.6205 0.8437 0.2769
0.9179 0.0897 0.8369
0.9179 0.5810 0.3282
```